Record 1
This entry pairs a crystal structure of Mn4CoRu3 with its calculated X-ray powder pattern. Radiation: Cu Kα. Structure: DFT lattice parameters and positions (PBE).

Cell and atoms:
```
Mn4CoRu3
1.0
2.983 0.000 0.000
0.000 2.983 0.000
0.000 0.000 11.711
Mn Co Ru
4 1 3
Direct
0.000 0.000 0.117
0.000 0.000 0.372
0.000 0.000 0.628
0.000 0.000 0.883
0.500 0.500 0.000
0.500 0.500 0.244
0.500 0.500 0.500
0.500 0.500 0.756
```

Largest 8 diffraction maxima, by intensity, 5° ≤ 2θ ≤ 70°:
Position (°2θ)	Rel. int.
43.30	100
42.87	52
62.24	16
29.95	9
63.56	7
30.53	4
53.54	4
7.55	3


Record 2
This entry pairs a crystal structure of AlBi3Se2ClO8 with its calculated X-ray powder pattern. Radiation: Cu Kα. Structure: DFT lattice parameters and positions (PBE).

Cell and atoms:
```
AlBi3Se2ClO8
1.0
8.096 0.000 0.000
0.000 9.475 0.000
0.000 0.000 7.009
Al Bi Se Cl O
2 6 4 2 16
Direct
0.250 0.250 0.180
0.750 0.750 0.820
0.000 0.000 0.500
0.000 0.500 0.500
0.250 0.250 0.653
0.500 0.000 0.500
0.500 0.500 0.500
0.750 0.750 0.347
0.250 0.562 0.954
0.250 0.938 0.954
0.750 0.062 0.046
0.750 0.438 0.046
0.250 0.750 0.419
0.750 0.250 0.581
0.082 0.582 0.808
0.082 0.918 0.808
0.250 0.109 0.360
0.250 0.126 0.975
0.250 0.374 0.975
0.250 0.391 0.360
0.418 0.582 0.808
0.418 0.918 0.808
0.582 0.082 0.192
0.582 0.418 0.192
0.750 0.609 0.640
0.750 0.626 0.025
0.750 0.874 0.025
0.750 0.891 0.640
0.918 0.082 0.192
0.918 0.418 0.192
```

Largest 8 diffraction maxima, by intensity, 5° ≤ 2θ ≤ 70°:
Position (°2θ)	Rel. int.
31.76	100
12.63	46
25.41	44
29.01	37
44.79	33
55.94	20
40.18	16
27.13	15